No. 1
Starting from a structure optimized by DFT (GGA-PBE), the powder diffractogram of Ce2YSi6 was calculated for CuKα.
Peak positions follow from Bragg's law for the DFT cell and can differ from measured ones.

a b c (Å): 7.0501 7.0501 4.0760
angles (deg): 90.00 90.00 120.00
Positions (direct):
Ce (0.3333, 0.6667, 0.0000)
Ce (0.6667, 0.3333, 0.0000)
Y (0.0000, 0.0000, 0.0000)
Si (0.0000, 0.3330, 0.5000)
Si (0.0000, 0.6670, 0.5000)
Si (0.3330, 0.0000, 0.5000)
Si (0.3330, 0.3330, 0.5000)
Si (0.6670, 0.0000, 0.5000)
Si (0.6670, 0.6670, 0.5000)

Main lines, low angle first (10° ≤ 2θ ≤ 90°):
Position (°2θ), I/Imax
21.8, 9
25.3, 40
33.6, 100
44.5, 42
50.1, 6
51.8, 17
56.9, 22
64.7, 20
70.7, 9
75.0, 28
82.0, 5
87.5, 5

No. 2
Starting from a structure optimized by DFT (GGA-PBE), the powder diffractogram of Ce2Zn3Si was calculated for CuKα.
Peak positions follow from Bragg's law for the DFT cell and can differ from measured ones.

a b c (Å): 3.8742 4.3434 7.5573
angles (deg): 90.00 90.00 90.00
Positions (direct):
Ce (0.0000, 0.0000, 0.0000)
Ce (0.0000, 0.5000, 0.4784)
Zn (0.5000, 0.0000, 0.6547)
Zn (0.5000, 0.5000, 0.1557)
Zn (0.5000, 0.5000, 0.8192)
Si (0.5000, 0.0000, 0.3257)

Main lines, low angle first (10° ≤ 2θ ≤ 90°):
Position (°2θ), I/Imax
23.6, 19
33.2, 100
41.4, 30
41.6, 15
46.9, 11
54.0, 8
54.2, 16
64.3, 16
64.5, 8
70.4, 7
70.6, 7
78.2, 8

No. 3
Starting from a structure optimized by DFT (GGA-PBE), the powder diffractogram of Ce2Zn2Si3 was calculated for CuKα.
Peak positions follow from Bragg's law for the DFT cell and can differ from measured ones.

a b c (Å): 9.4410 9.4410 6.7649
angles (deg): 90.00 90.00 153.58
Positions (direct):
Ce (0.0493, 0.9507, 0.7500)
Ce (0.1577, 0.8423, 0.2500)
Ce (0.8423, 0.1577, 0.7500)
Ce (0.9507, 0.0493, 0.2500)
Zn (0.3176, 0.6824, 0.0600)
Zn (0.3176, 0.6824, 0.4400)
Zn (0.6824, 0.3176, 0.5600)
Zn (0.6824, 0.3176, 0.9400)
Si (0.2174, 0.7826, 0.7500)
Si (0.4416, 0.5584, 0.5753)
Si (0.4416, 0.5584, 0.9247)
Si (0.5584, 0.4416, 0.0753)
Si (0.5584, 0.4416, 0.4247)
Si (0.7826, 0.2174, 0.2500)

Main lines, low angle first (10° ≤ 2θ ≤ 90°):
Position (°2θ), I/Imax
21.1, 15
23.4, 20
28.5, 15
32.1, 25
34.0, 75
34.7, 100
36.8, 17
39.2, 15
41.9, 42
44.8, 33
56.8, 21
63.0, 23

No. 4
Starting from a structure optimized by DFT (GGA-PBE), the powder diffractogram of Ce2SmSn2 was calculated for CuKα.
Peak positions follow from Bragg's law for the DFT cell and can differ from measured ones.

a b c (Å): 6.7003 6.7003 6.7003
angles (deg): 45.89 45.89 45.89
Positions (direct):
Ce (0.1961, 0.1961, 0.1961)
Ce (0.8039, 0.8039, 0.8039)
Sm (0.0000, 0.0000, 0.0000)
Sn (0.4079, 0.4079, 0.4079)
Sn (0.5921, 0.5921, 0.5921)

Main lines, low angle first (10° ≤ 2θ ≤ 90°):
Position (°2θ), I/Imax
31.8, 100
34.3, 84
47.5, 33
55.0, 20
59.9, 33
61.5, 16
66.5, 11
72.4, 10
72.9, 1
77.0, 15
80.2, 2
81.2, 14

No. 5
Starting from a structure optimized by DFT (GGA-PBE), the powder diffractogram of Ce2SmSn3 was calculated for CuKα.
Peak positions follow from Bragg's law for the DFT cell and can differ from measured ones.

a b c (Å): 9.2318 9.2318 3.2714
angles (deg): 90.00 90.00 143.14
Positions (direct):
Ce (0.1653, 0.8347, 0.0000)
Ce (0.8347, 0.1653, 0.0000)
Sm (0.5000, 0.5000, 0.0000)
Sn (0.0000, 0.0000, 0.5000)
Sn (0.3331, 0.6669, 0.5000)
Sn (0.6669, 0.3331, 0.5000)

Main lines, low angle first (10° ≤ 2θ ≤ 90°):
Position (°2θ), I/Imax
21.5, 1
30.6, 71
35.0, 100
43.9, 27
56.2, 6
57.3, 49
63.8, 9
65.4, 17
72.4, 12
73.9, 12
74.9, 11

No. 6
Starting from a structure optimized by DFT (GGA-PBE), the powder diffractogram of CeSm2Sn2 was calculated for CuKα.
Peak positions follow from Bragg's law for the DFT cell and can differ from measured ones.

a b c (Å): 8.0446 8.0446 8.0446
angles (deg): 113.45 84.79 133.86
Positions (direct):
Ce (0.2500, 0.2500, 0.0000)
Ce (0.7500, 0.7500, 0.0000)
Sm (0.1429, 0.6391, 0.7819)
Sm (0.3571, 0.1391, 0.4962)
Sm (0.6429, 0.8609, 0.5038)
Sm (0.8571, 0.3609, 0.2181)
Sn (0.1179, 0.2804, 0.3983)
Sn (0.3821, 0.7804, 0.1625)
Sn (0.6179, 0.2196, 0.8375)
Sn (0.8821, 0.7196, 0.6017)

Main lines, low angle first (10° ≤ 2θ ≤ 90°):
Position (°2θ), I/Imax
24.6, 100
25.8, 44
28.3, 49
30.1, 35
31.1, 82
31.3, 74
35.0, 75
36.5, 52
37.0, 73
41.8, 90
48.1, 58
56.3, 31

Repeat the third record exactly.
Starting from a structure optimized by DFT (GGA-PBE), the powder diffractogram of Ce2Zn2Si3 was calculated for CuKα.
Peak positions follow from Bragg's law for the DFT cell and can differ from measured ones.

a b c (Å): 9.4410 9.4410 6.7649
angles (deg): 90.00 90.00 153.58
Positions (direct):
Ce (0.0493, 0.9507, 0.7500)
Ce (0.1577, 0.8423, 0.2500)
Ce (0.8423, 0.1577, 0.7500)
Ce (0.9507, 0.0493, 0.2500)
Zn (0.3176, 0.6824, 0.0600)
Zn (0.3176, 0.6824, 0.4400)
Zn (0.6824, 0.3176, 0.5600)
Zn (0.6824, 0.3176, 0.9400)
Si (0.2174, 0.7826, 0.7500)
Si (0.4416, 0.5584, 0.5753)
Si (0.4416, 0.5584, 0.9247)
Si (0.5584, 0.4416, 0.0753)
Si (0.5584, 0.4416, 0.4247)
Si (0.7826, 0.2174, 0.2500)

Main lines, low angle first (10° ≤ 2θ ≤ 90°):
Position (°2θ), I/Imax
21.1, 15
23.4, 20
28.5, 15
32.1, 25
34.0, 75
34.7, 100
36.8, 17
39.2, 15
41.9, 42
44.8, 33
56.8, 21
63.0, 23